1.
Structure and simulated X-ray powder pattern of Ca5As3O12F (DFT lattice parameters and positions (PBE); Cu Kα X-rays).
Peak positions follow from Bragg's law for the DFT cell and can differ from measured ones.

Cell and atoms:
```
Ca5As3O12F
1.0
7.042 0.000 0.000
0.110 9.781 0.000
0.227 4.872 8.546
Ca As O F
10 6 24 2
Cartesian
0.081 2.381 1.633
1.832 5.020 4.285
1.996 8.499 6.341
1.979 8.524 2.171
3.558 2.557 1.312
3.821 12.095 7.234
5.400 6.128 6.375
5.383 6.154 2.205
5.547 9.632 4.261
7.298 12.272 6.913
1.902 5.285 7.445
1.783 5.648 0.883
2.099 11.087 4.500
5.280 3.565 4.046
5.597 9.005 7.663
5.478 9.368 1.101
0.476 5.039 6.500
0.641 10.340 5.026
0.605 6.606 1.678
1.785 10.529 7.714
1.853 6.632 8.501
1.811 4.080 1.564
2.178 12.594 5.348
2.114 11.240 2.792
2.265 13.580 8.288
3.116 5.569 6.264
3.366 10.092 5.104
3.273 6.484 1.126
4.106 8.168 7.420
4.013 4.560 3.442
4.264 9.083 2.282
5.114 1.073 0.259
5.265 3.412 5.754
5.202 2.059 3.198
5.569 10.573 6.982
5.527 8.020 0.045
5.594 4.123 0.832
6.774 8.047 6.868
6.738 4.313 3.520
6.904 9.613 2.046
1.903 7.404 4.250
5.476 7.248 4.296
```

Largest 8 diffraction maxima, by intensity, 2θ = 15–90°:
2θ (°), Rel. int.
25.30, 100
31.62, 96
31.42, 68
30.46, 56
22.27, 50
30.78, 49
30.61, 48
30.24, 47

***

2.
Structure and simulated X-ray powder pattern of CaAs2Xe4F20 (DFT lattice parameters and positions (PBE); Cu Kα X-rays).
Peak positions follow from Bragg's law for the DFT cell and can differ from measured ones.

Cell and atoms:
```
CaAs2Xe4F20
1.0
8.558 0.000 0.000
0.000 15.644 0.000
-3.264 0.000 8.210
Ca As Xe F
2 4 8 40
Cartesian
0.856 0.000 0.755
4.439 7.822 7.455
0.728 8.927 2.824
-0.114 13.009 6.779
5.408 5.187 1.431
4.566 1.105 5.386
1.120 4.317 0.222
0.274 1.447 4.857
0.079 8.550 7.122
2.660 12.948 3.400
2.634 5.126 4.810
5.216 0.728 1.088
5.020 9.269 3.353
4.175 12.139 7.988
-0.355 8.716 1.364
-2.291 6.287 7.731
-1.956 8.932 7.085
-0.407 7.966 3.777
-0.178 10.389 3.209
-1.315 11.717 6.816
-0.535 13.399 5.117
-1.411 14.168 7.348
1.310 2.389 0.952
0.646 0.419 3.052
1.289 13.644 1.952
1.583 7.456 2.353
1.837 9.880 1.822
-0.039 2.412 6.635
1.278 4.403 3.457
1.777 9.139 4.232
3.176 0.275 1.115
1.139 11.877 6.248
3.567 12.687 0.261
1.047 14.351 6.786
4.247 6.529 1.424
1.728 4.865 7.949
4.156 4.055 1.962
2.119 8.097 7.094
3.517 1.317 3.978
4.017 12.224 4.753
5.334 10.234 1.574
3.457 2.058 6.387
3.711 15.278 5.856
4.005 5.822 6.257
4.649 8.240 5.158
3.985 10.211 7.258
6.706 6.346 0.862
5.830 5.577 3.092
6.610 3.895 1.394
5.701 0.144 4.432
5.473 2.567 5.001
7.250 1.110 1.125
7.585 14.109 0.479
5.650 0.894 6.846
```

Largest 8 diffraction maxima, by intensity, 2θ = 15–90°:
2θ (°), Rel. int.
22.39, 100
22.74, 74
23.84, 46
21.13, 45
25.40, 37
27.66, 34
20.36, 32
27.08, 31

***

3.
Structure and simulated X-ray powder pattern of CaFe2As2 (DFT lattice parameters and positions (PBE); Cu Kα X-rays).
Peak positions follow from Bragg's law for the DFT cell and can differ from measured ones.

Cell and atoms:
```
CaFe2As2
1.0
0.000 2.795 5.801
2.730 0.000 5.801
2.730 2.795 0.000
Ca Fe As
1 2 2
Cartesian
0.000 0.000 0.000
1.365 1.398 2.900
4.095 4.193 8.701
2.730 2.795 4.236
2.730 2.795 7.365
```

Largest 8 diffraction maxima, by intensity, 2θ = 15–90°:
2θ (°), Rel. int.
32.58, 100
46.50, 61
15.27, 50
45.05, 35
45.64, 34
58.46, 31
35.66, 27
24.04, 27

***

4.
Structure and simulated X-ray powder pattern of CaFe4As3 (DFT lattice parameters and positions (PBE); Cu Kα X-rays).
Peak positions follow from Bragg's law for the DFT cell and can differ from measured ones.

Cell and atoms:
```
CaFe4As3
1.0
11.902 0.000 0.000
0.000 3.745 0.000
0.000 0.000 11.347
Ca Fe As
4 16 12
Cartesian
1.988 0.936 0.756
3.963 2.808 6.429
7.939 0.936 4.917
9.914 2.808 10.591
0.165 2.808 7.753
0.810 2.808 5.231
2.253 0.936 8.796
2.299 0.936 4.214
3.653 2.808 9.887
3.699 2.808 3.123
5.141 0.936 10.904
5.786 0.936 2.080
6.117 2.808 9.267
6.762 2.808 0.442
8.204 0.936 8.224
8.250 0.936 1.460
9.604 2.808 7.133
9.650 2.808 2.551
11.092 0.936 6.116
11.737 0.936 3.594
1.224 2.808 9.910
1.329 2.808 2.950
1.507 0.936 6.529
4.445 2.808 0.855
4.623 0.936 8.623
4.727 0.936 4.237
7.175 2.808 7.110
7.280 2.808 2.723
7.458 0.936 10.491
10.396 2.808 4.818
10.574 0.936 8.397
10.678 0.936 1.437
```

Largest 8 diffraction maxima, by intensity, 2θ = 15–90°:
2θ (°), Rel. int.
38.65, 100
48.05, 74
48.63, 73
46.81, 64
40.61, 57
32.41, 43
52.05, 39
30.03, 35

***

5.
Structure and simulated X-ray powder pattern of Ca5Fe4As9Pt3 (DFT lattice parameters and positions (PBE); Cu Kα X-rays).
Peak positions follow from Bragg's law for the DFT cell and can differ from measured ones.

Cell and atoms:
```
Ca5Fe4As9Pt3
1.0
8.891 0.000 0.000
0.010 8.911 0.000
1.766 3.586 10.178
Ca Fe As Pt
10 8 18 6
Cartesian
0.472 3.134 2.480
3.099 3.978 7.651
2.194 6.741 2.356
4.811 7.607 7.645
4.047 1.401 2.536
6.620 11.095 7.642
5.856 4.890 2.533
8.473 5.756 7.822
7.568 8.519 2.527
10.194 9.363 7.698
1.281 4.917 5.100
2.185 2.240 5.106
3.108 8.430 5.108
3.983 5.757 5.120
6.683 6.740 5.058
7.558 4.066 5.070
8.482 10.256 5.072
9.385 7.580 5.078
0.086 7.652 0.164
1.368 9.358 3.820
2.199 6.662 6.379
1.275 4.527 0.124
2.970 4.085 3.771
3.805 10.188 6.487
3.205 8.821 0.206
4.809 7.445 3.763
4.367 5.715 0.190
6.300 6.782 9.989
5.858 5.052 6.415
7.461 3.676 9.972
6.862 2.308 3.691
7.697 8.412 6.407
9.392 7.970 10.054
8.468 5.834 3.799
9.299 3.139 6.359
10.581 4.845 10.015
4.007 5.798 10.168
4.007 10.273 9.411
4.883 3.133 5.105
5.783 9.364 5.073
6.660 2.224 0.767
6.660 6.699 0.010
```

Largest 8 diffraction maxima, by intensity, 2θ = 15–90°:
2θ (°), Rel. int.
36.48, 100
17.43, 100
48.24, 41
45.53, 38
34.76, 37
45.63, 34
49.12, 17
64.04, 14